Calculated X-ray powder pattern of NaMg3Tl3 for Cu Kα, from DFT lattice parameters and positions (GGA-PBE).
Kinematic intensities with the Lorentz-polarization factor, no thermal factor.

Structure:
```
data_NaMg3Tl3
_space_group_name_H-M_alt 'C m m m'
_space_group_IT_number 65
_space_group_name_Hall '-C 2 2'
_cell_length_a 10.2228
_cell_length_b 10.9088
_cell_length_c 6.7550
_cell_angle_alpha 90.00
_cell_angle_beta 90.00
_cell_angle_gamma 90.00
loop_
_atom_site_label
_atom_site_type_symbol
_atom_site_fract_x
_atom_site_fract_y
_atom_site_fract_z
Na1 Na 0.1889 0.0000 0.0000
Mg1 Mg 0.0000 0.1633 0.5000
Mg2 Mg 0.0000 0.2649 0.0000
Mg3 Mg 0.2489 0.5000 0.5000
Tl1 Tl 0.0000 0.5000 0.2545
Tl2 Tl 0.2500 0.2500 0.2576
```

Most intense lines, 2θ = 10–80°, by angle:
- (1 1 0), 2θ = 11.86°, d 7.459, intensity 47
- (2 2 0), 2θ = 23.86°, d 3.730, intensity 82
- (0 0 2), 2θ = 26.39°, d 3.377, intensity 29
- (0 4 0), 2θ = 32.84°, d 2.727, intensity 30
- (4 0 0), 2θ = 35.11°, d 2.556, intensity 26
- (2 2 2), 2θ = 35.87°, d 2.504, intensity 100
- (0 4 2), 2θ = 42.61°, d 2.122, intensity 20
- (4 4 0), 2θ = 48.84°, d 1.865, intensity 19
- (4 4 2), 2θ = 56.36°, d 1.633, intensity 19
- (2 6 2), 2θ = 60.61°, d 1.528, intensity 20